Y4Rh: simulated powder diffractogram (Cu Kα (weighted mean of Kα1 and Kα2)), based on a crystal structure in Alexandria, relaxed with PBE.
Lines closer than 0.1° are merged.

Main lines, sorted by position (2θ from 5° to 70°):
| 2θ (°) | I_rel | hkl |
| --- | --- | --- |
| 15.08 | 28.1 | 1 0 1 |
| 20.60 | 30.6 | 2 0 0 |
| 29.29 | 21.4 | 2 2 0 |
| 30.43 | 100.0 | 2 0 2 |
| 33.10 | 67.0 | 3 0 1 |
| 35.12 | 48.0 | 1 0 3 |
| 39.31 | 41.6 | 3 2 1 |
| 39.97 | 29.4 | 3 1 2 |
| 41.91 | 25.3 | 4 0 0 |
| 54.41 | 24.5 | 4 3 1 |

Structural model:
Cell: 8.623 8.623 8.027 Å, 90.00 90.00 90.00°
Space group I-42d (No. 122)
Symmetry-distinct sites (fractional):
1 Y 0.022 0.699 0.414 x16
2 Rh 0.000 0.000 0.500 x4